# 1
For KNa3In9, a crystal structure in Alexandria, relaxed with GGA-PBE gives the theoretical powder diffraction line list in this record (Cu Kα).
Lines closer than 0.1° are merged.

Largest 10 diffraction maxima, low angle first, 10° ≤ 2θ ≤ 90°:
2θ/deg, I_rel, (hkl)
11.37, 73, 1 1 1
20.50, 43, 2 2 0
21.12, 55, 2 2 1
22.72, 46, 0 2 4
32.64, 89, 3 3 2
33.10, 41, 0 4 5
35.51, 44, 4 0 0
37.71, 42, 2 4 5
38.12, 100, 2 6 2
41.38, 58, 2 2 7

Atomic structure:
a = 10.1111 Å, b = 16.8019 Å, c = 17.6898 Å
α = 90.00°, β = 90.00°, γ = 90.00°
Space group Cmce (No. 64)
Inequivalent atoms, fractional coordinates:
K 0.0000 0.0348 0.1596 [8 per cell]
Na 0.1919 0.2322 0.0890 [16 per cell]
Na 0.2500 0.1174 0.7500 [8 per cell]
In 0.0000 0.1036 0.6393 [8 per cell]
In 0.0000 0.1632 0.4769 [8 per cell]
In 0.0000 0.1735 0.9136 [8 per cell]
In 0.0000 0.2421 0.7540 [8 per cell]
In 0.1517 0.0570 0.3686 [16 per cell]
In 0.2408 0.0817 0.9627 [16 per cell]
In 0.2500 0.1639 0.2500 [8 per cell]


# 2
For KNa7In5, a crystal structure in Alexandria, relaxed with GGA-PBE gives the theoretical powder diffraction line list in this record (Cu Kα).
Lines closer than 0.1° are merged.

Largest 10 diffraction maxima, low angle first, 10° ≤ 2θ ≤ 90°:
2θ/deg, I_rel, (hkl)
15.60, 100, 0 0 2
16.18, 32, 0 2 0
22.56, 35, 0 2 2
31.49, 37, 0 0 4
31.62, 29, 2 0 2
31.91, 69, 2 2 0
32.70, 31, 0 4 0
35.72, 88, 2 2 2
36.42, 36, 0 4 2
45.45, 33, 2 2 4

Atomic structure:
a = 6.5252 Å, b = 10.9548 Å, c = 11.3645 Å
α = 90.00°, β = 90.00°, γ = 90.00°
Space group Imm2 (No. 44)
Inequivalent atoms, fractional coordinates:
K 0.0000 0.0000 0.0000 [2 per cell]
Na 0.0000 0.0000 0.3433 [2 per cell]
Na 0.0000 0.0000 0.6686 [2 per cell]
Na 0.0000 0.2916 0.5161 [4 per cell]
Na 0.0000 0.3411 0.0240 [4 per cell]
Na 0.0000 0.5000 0.7473 [2 per cell]
In 0.0000 0.5000 0.2859 [2 per cell]
In 0.2431 0.2413 0.7713 [8 per cell]


# 3
For K2Na7In2, a crystal structure in Alexandria, relaxed with GGA-PBE gives the theoretical powder diffraction line list in this record (Cu Kα).
Lines closer than 0.1° are merged.

Largest 10 diffraction maxima, low angle first, 10° ≤ 2θ ≤ 90°:
2θ/deg, I_rel, (hkl)
14.77, 89, 0 0 1
15.86, 78, 2 0 -1
21.71, 34, 0 2 1
22.49, 54, 2 2 -1
23.00, 35, 2 2 0
29.10, 76, 4 0 -1
30.54, 85, 2 2 -2
31.69, 100, 2 2 1
31.96, 39, 0 4 0
35.90, 38, 2 4 -1

Atomic structure:
a = 12.2784 Å, b = 11.2020 Å, c = 6.8885 Å
α = 90.00°, β = 119.48°, γ = 90.00°
Space group C2/m (No. 12)
Inequivalent atoms, fractional coordinates:
K 0.0000 0.1826 0.0000 [4 per cell]
Na 0.0000 0.0000 0.5000 [2 per cell]
Na 0.0932 0.5000 0.3331 [4 per cell]
Na 0.1740 0.2561 0.6955 [8 per cell]
In 0.2226 0.5000 0.0034 [4 per cell]


# 4
For K3Na9In2, a crystal structure in Alexandria, relaxed with GGA-PBE gives the theoretical powder diffraction line list in this record (Cu Kα).
Lines closer than 0.1° are merged.

Largest 10 diffraction maxima, low angle first, 10° ≤ 2θ ≤ 90°:
2θ/deg, I_rel, (hkl)
12.03, 91, 0 0 2
17.05, 59, 1 0 1
20.01, 50, 0 3 1
26.40, 71, 0 3 3
27.41, 100, 1 2 3
27.79, 86, 1 3 2
29.82, 46, 1 1 4
30.86, 48, 1 4 1
32.21, 58, 2 0 0
35.03, 67, 1 3 4

Atomic structure:
a = 5.5583 Å, b = 13.9604 Å, c = 14.7168 Å
α = 90.00°, β = 90.00°, γ = 90.00°
Space group Immm (No. 71)
Inequivalent atoms, fractional coordinates:
K 0.0000 0.0000 0.0000 [2 per cell]
K 0.0000 0.0000 0.3046 [4 per cell]
Na 0.0000 0.2872 0.1232 [8 per cell]
Na 0.0000 0.3593 0.3661 [8 per cell]
Na 0.0000 0.5000 0.0000 [2 per cell]
In 0.0000 0.1684 0.5000 [4 per cell]


# 5
For K3Na2InO4, a crystal structure in Alexandria, relaxed with GGA-PBE gives the theoretical powder diffraction line list in this record (Cu Kα).
Lines closer than 0.1° are merged.

Largest 10 diffraction maxima, low angle first, 10° ≤ 2θ ≤ 90°:
2θ/deg, I_rel, (hkl)
15.07, 58, 1 1 -1
17.26, 100, 0 0 2
17.46, 33, 1 1 -2
20.07, 47, 0 2 1
29.96, 64, 1 1 2
30.10, 70, 2 0 -4
31.25, 33, 1 3 -2
31.82, 57, 0 2 3
34.85, 40, 1 3 -3
38.76, 40, 3 1 -2

Atomic structure:
a = 7.3495 Å, b = 9.7990 Å, c = 12.5563 Å
α = 90.00°, β = 124.93°, γ = 90.00°
Space group P2_1/c (No. 14)
Inequivalent atoms, fractional coordinates:
K 0.0592 0.2454 0.1623 [4 per cell]
K 0.2826 0.0080 0.5191 [4 per cell]
K 0.4286 0.6615 0.6009 [4 per cell]
Na 0.1826 0.5687 0.7240 [4 per cell]
Na 0.2490 0.1647 0.9933 [4 per cell]
In 0.2915 0.6322 0.2686 [4 per cell]
O 0.0701 0.7134 0.0820 [4 per cell]
O 0.1608 0.0262 0.8171 [4 per cell]
O 0.3961 0.7064 0.9069 [4 per cell]
O 0.4092 0.0815 0.2105 [4 per cell]


# 6
For K2Na2InSb2, a crystal structure in Alexandria, relaxed with GGA-PBE gives the theoretical powder diffraction line list in this record (Cu Kα).
Lines closer than 0.1° are merged.

Largest 10 diffraction maxima, low angle first, 10° ≤ 2θ ≤ 90°:
2θ/deg, I_rel, (hkl)
10.32, 78, 0 0 1
14.50, 100, 2 0 -1
19.87, 29, 2 0 -2
26.50, 33, 1 1 -2
28.26, 34, 3 1 -1
30.03, 72, 3 1 0
31.43, 59, 1 1 2
33.55, 29, 4 0 -3
34.47, 60, 1 1 -3
37.67, 32, 0 2 0

Atomic structure:
a = 12.6326 Å, b = 4.7764 Å, c = 9.4890 Å
α = 90.00°, β = 115.38°, γ = 90.00°
Space group C2/m (No. 12)
Inequivalent atoms, fractional coordinates:
K 0.1438 0.0000 0.3152 [4 per cell]
Na 0.1489 0.5000 0.9263 [4 per cell]
In 0.0000 0.5000 0.5000 [2 per cell]
Sb 0.1552 0.0000 0.7133 [4 per cell]


# 7
For K2NaInSb2, a crystal structure in Alexandria, relaxed with GGA-PBE gives the theoretical powder diffraction line list in this record (Cu Kα).
Lines closer than 0.1° are merged.

Largest 10 diffraction maxima, low angle first, 10° ≤ 2θ ≤ 90°:
2θ/deg, I_rel, (hkl)
10.63, 59, 0 2 0
14.97, 34, 1 1 1
20.69, 61, 2 2 1
27.36, 21, 0 2 2
27.86, 48, 2 4 1
33.21, 100, 4 4 0
35.85, 56, 4 0 2
37.05, 20, 2 6 1
41.34, 19, 4 6 0
47.32, 16, 2 8 1

Atomic structure:
a = 14.1990 Å, b = 16.6396 Å, c = 7.0717 Å
α = 90.00°, β = 90.00°, γ = 90.00°
Space group Cmce (No. 64)
Inequivalent atoms, fractional coordinates:
K 0.0000 0.1732 0.2207 [8 per cell]
K 0.2500 0.1732 0.7500 [8 per cell]
Na 0.1182 0.0000 0.0000 [8 per cell]
In 0.1323 0.0000 0.5000 [8 per cell]
Sb 0.0000 0.1058 0.7052 [8 per cell]
Sb 0.2500 0.1056 0.2500 [8 per cell]


# 8
For KNa2InSn, a crystal structure in Alexandria, relaxed with GGA-PBE gives the theoretical powder diffraction line list in this record (Cu Kα).
Lines closer than 0.1° are merged.

Largest 10 diffraction maxima, low angle first, 10° ≤ 2θ ≤ 90°:
2θ/deg, I_rel, (hkl)
14.91, 100, 1 0 0
21.15, 68, 1 1 0
30.08, 54, 2 0 0
30.32, 26, 0 0 2
33.73, 29, 2 1 0
33.94, 28, 1 0 2
37.26, 30, 1 1 2
43.23, 39, 2 0 2
45.98, 25, 2 1 2
53.56, 20, 2 2 2

Atomic structure:
a = 5.9426 Å, b = 5.9426 Å, c = 5.8965 Å
α = 90.00°, β = 90.00°, γ = 90.00°
Space group P4/mmm (No. 123)
Inequivalent atoms, fractional coordinates:
K 0.0000 0.0000 0.0000 [1 per cell]
Na 0.0000 0.5000 0.5000 [2 per cell]
In 0.5000 0.5000 0.0000 [1 per cell]
Sn 0.5000 0.5000 0.5000 [1 per cell]


# 9
For K2NaIn2Te4, a crystal structure in Alexandria, relaxed with GGA-PBE gives the theoretical powder diffraction line list in this record (Cu Kα).
Lines closer than 0.1° are merged.

Largest 10 diffraction maxima, low angle first, 10° ≤ 2θ ≤ 90°:
2θ/deg, I_rel, (hkl)
11.19, 100, 0 0 1
18.44, 46, 1 1 0
22.38, 78, 1 1 1
26.74, 78, 4 0 -2
28.05, 40, 1 1 -2
28.42, 42, 3 1 1
29.88, 73, 3 1 -2
35.69, 66, 0 2 0
36.13, 80, 3 1 2
37.56, 41, 1 1 -3

Atomic structure:
a = 17.0522 Å, b = 5.0316 Å, c = 8.2154 Å
α = 90.00°, β = 105.68°, γ = 90.00°
Space group C2/m (No. 12)
Inequivalent atoms, fractional coordinates:
K 0.1198 0.0000 0.0512 [4 per cell]
Na 0.0000 0.0000 0.5000 [2 per cell]
In 0.1638 0.5000 0.5044 [4 per cell]
Te 0.0195 0.5000 0.2447 [4 per cell]
Te 0.2081 0.0000 0.6910 [4 per cell]


# 10
For KNdNbInO6, a crystal structure in Alexandria, relaxed with GGA-PBE gives the theoretical powder diffraction line list in this record (Cu Kα).
Lines closer than 0.1° are merged.

Largest 10 diffraction maxima, low angle first, 10° ≤ 2θ ≤ 90°:
2θ/deg, I_rel, (hkl)
18.66, 18, 1 1 1
30.71, 100, 2 2 0
36.17, 11, 3 1 1
43.98, 33, 4 0 0
48.16, 5, 3 3 1
54.59, 39, 4 2 2
63.95, 20, 4 4 0
72.60, 17, 6 2 0
80.86, 6, 4 4 4
88.93, 20, 6 4 2

Atomic structure:
a = 8.2356 Å, b = 8.2356 Å, c = 8.2356 Å
α = 90.00°, β = 90.00°, γ = 90.00°
Space group F-43m (No. 216)
Inequivalent atoms, fractional coordinates:
K 0.0000 0.0000 0.0000 [4 per cell]
Nd 0.0000 0.0000 0.5000 [4 per cell]
Nb 0.2500 0.2500 0.7500 [4 per cell]
In 0.2500 0.2500 0.2500 [4 per cell]
O 0.0080 0.2500 0.7500 [24 per cell]


# 11
For KNb4InO12, a crystal structure in Alexandria, relaxed with GGA-PBE gives the theoretical powder diffraction line list in this record (Cu Kα).
Lines closer than 0.1° are merged.

Largest 10 diffraction maxima, low angle first, 10° ≤ 2θ ≤ 90°:
2θ/deg, I_rel, (hkl)
19.49, 79, 1 1 1
22.26, 43, 2 0 0
22.50, 45, 0 0 2
22.87, 38, 0 2 0
31.86, 83, 2 0 2
32.13, 100, 2 2 0
32.30, 94, 0 2 2
56.83, 41, 4 2 2
57.15, 38, 2 2 4
57.67, 40, 2 4 2

Atomic structure:
a = 7.9874 Å, b = 7.7757 Å, c = 7.9044 Å
α = 90.00°, β = 90.00°, γ = 90.00°
Space group Amm2 (No. 38)
Inequivalent atoms, fractional coordinates:
K 0.0000 0.0000 0.0000 [2 per cell]
Nb 0.2468 0.2471 0.7382 [8 per cell]
In 0.5000 0.0000 0.4530 [2 per cell]
O 0.0000 0.2096 0.7215 [4 per cell]
O 0.2188 0.0000 0.2618 [4 per cell]
O 0.2553 0.2076 0.9725 [8 per cell]
O 0.3164 0.0000 0.6562 [4 per cell]
O 0.5000 0.1940 0.2558 [4 per cell]